# 1
PmTaMn2O8: computed powder diffractogram (Cu Ka), based on a cell relaxed with GGA+U.

Top 10 peaks for 2θ from 15° to 90°, low angle first:
d_spacing	Rel. int.	h k l
4.717	52	1 1 0
3.395	66	0 2 0
3.278	56	2 0 0
2.678	100	1 1 2
2.358	26	2 2 0
2.309	23	2 0 2
2.140	14	1 3 0
1.788	44	1 3 2
1.753	37	3 1 2
1.416	24	3 3 2

Atomic structure:
Lattice parameters (Å, degrees): 6.5563 6.7903 6.5056 90.00 90.00 90.00
Space group Cmmm (No. 65)
Asymmetric unit:
Pm (0.0000, 0.0000, 0.0000)
Ta (0.0000, 0.0000, 0.5000)
Mn (0.0000, 0.5000, 0.2593)
O (0.0000, 0.3061, 0.5000)
O (0.0000, 0.3359, 0.0000)
O (0.2089, 0.0000, 0.2822)

---

# 2
Pm2MnTeO8: computed powder diffractogram (Cu Ka), based on a cell relaxed with GGA+U.

Top 10 peaks for 2θ from 15° to 90°, low angle first:
d_spacing	Rel. int.	h k l
3.830	28	1 0 -1
3.590	100	1 1 0
3.279	73	1 -1 0
2.992	65	0 1 2
2.810	37	1 0 2
2.797	45	0 1 -2
2.773	29	1 0 -2
2.553	27	0 2 0
2.006	20	1 2 2
1.876	20	1 2 -2

Atomic structure:
Lattice parameters (Å, degrees): 4.6354 5.1411 7.0290 85.79 88.82 84.73
Space group P-1 (No. 2)
Asymmetric unit:
Pm (0.0931, 0.4900, 0.2517)
Mn (0.5000, 0.0000, 0.0000)
Te (0.5000, 0.0000, 0.5000)
O (0.1568, 0.2289, 0.5356)
O (0.2124, 0.2804, 0.9791)
O (0.3415, 0.8811, 0.2566)
O (0.3710, 0.7183, 0.6721)

---

# 3
PmMn2TlO4: computed powder diffractogram (Cu Ka), based on a cell relaxed with GGA+U.

Top 10 peaks for 2θ from 15° to 90°, low angle first:
d_spacing	Rel. int.	h k l
4.014	32	1 0 0
3.889	9	0 0 2
2.838	38	1 1 0
2.793	100	1 0 2
2.293	22	1 1 2
2.007	25	2 0 0
1.945	9	0 0 4
1.630	39	2 1 2
1.604	18	1 1 4
1.397	12	2 0 4

Atomic structure:
Lattice parameters (Å, degrees): 4.0138 4.0138 7.7785 90.00 90.00 90.00
Space group P4/mmm (No. 123)
Asymmetric unit:
Pm (0.0000, 0.0000, 0.0000)
Mn (0.5000, 0.5000, 0.2388)
Tl (0.0000, 0.0000, 0.5000)
O (0.0000, 0.5000, 0.1877)

---

# 4
PmUMn2O8: computed powder diffractogram (Cu Ka), based on a cell relaxed with GGA+U.

Top 10 peaks for 2θ from 15° to 90°, low angle first:
d_spacing	Rel. int.	h k l
4.737	46	1 0 1
3.080	100	1 1 2
2.769	18	0 0 4
2.620	22	2 0 0
2.293	16	2 1 1
1.903	27	2 0 4
1.853	15	2 2 0
1.652	17	1 1 6
1.588	31	1 3 2
1.540	13	2 2 4

Atomic structure:
Lattice parameters (Å, degrees): 5.2404 5.2404 11.0743 90.00 90.00 90.00
Space group I-4 (No. 82)
Asymmetric unit:
Pm (0.0000, 0.0000, 0.0000)
U (0.0000, 0.5000, 0.7500)
Mn (0.0000, 0.0000, 0.5000)
Mn (0.0000, 0.5000, 0.2500)
O (0.1511, 0.2714, 0.5767)
O (0.1845, 0.7902, 0.1876)

---

# 5
PmMn2WO8: computed powder diffractogram (Cu Ka), based on a cell relaxed with GGA+U.

Top 10 peaks for 2θ from 15° to 90°, low angle first:
d_spacing	Rel. int.	h k l
4.715	87	1 1 0
3.394	100	2 0 0
3.277	88	0 2 0
2.772	92	1 1 -2
2.667	73	1 1 2
2.357	40	2 2 0
2.335	36	0 2 2
1.846	36	3 1 -2
1.778	32	1 3 -2
1.755	31	3 1 2

Atomic structure:
Lattice parameters (Å, degrees): 6.7992 6.5546 6.6641 90.00 93.38 90.00
Space group C2/m (No. 12)
Asymmetric unit:
Pm (0.0000, 0.0000, 0.0000)
Mn (0.0083, 0.5000, 0.2580)
W (0.0000, 0.0000, 0.5000)
O (0.0020, 0.2026, 0.7127)
O (0.1673, 0.5000, 0.9832)
O (0.2085, 0.5000, 0.4860)

---

# 6
Pr2MnO5: computed powder diffractogram (Cu Ka), based on a cell relaxed with GGA+U.

Top 10 peaks for 2θ from 15° to 90°, low angle first:
d_spacing	Rel. int.	h k l
3.613	21	1 0 3
3.160	100	2 1 0
3.123	72	2 0 3
3.046	36	3 0 2
2.735	38	0 1 3
2.621	15	4 0 1
2.068	17	4 1 2
1.951	27	0 2 0
1.918	32	4 1 3
1.655	22	2 2 3

Atomic structure:
Lattice parameters (Å, degrees): 10.7669 3.9031 11.5049 90.00 90.00 90.00
Space group Pnma (No. 62)
Asymmetric unit:
Pr (0.0910, 0.2500, 0.2204)
Pr (0.1375, 0.2500, 0.5644)
Mn (0.1988, 0.2500, 0.8749)
O (0.0124, 0.7500, 0.5984)
O (0.0449, 0.2500, 0.8125)
O (0.2138, 0.2500, 0.0340)
O (0.2189, 0.7500, 0.2292)
O (0.2418, 0.7500, 0.8783)

---

# 7
PrMn2O4: computed powder diffractogram (Cu Ka), based on a cell relaxed with GGA+U.

Top 10 peaks for 2θ from 15° to 90°, low angle first:
d_spacing	Rel. int.	h k l
4.655	55	2 0 1
3.031	48	1 1 1
2.847	100	2 0 3
2.693	53	1 1 2
2.618	32	4 0 0
2.345	70	3 1 1
2.178	36	3 1 2
1.713	23	1 1 5
1.674	23	5 1 2
1.555	20	3 1 5

Atomic structure:
Lattice parameters (Å, degrees): 10.4701 3.3315 10.1753 90.00 90.00 90.00
Space group Pca2_1 (No. 29)
Asymmetric unit:
Pr (0.1413, 0.1892, 0.0000)
Mn (0.1190, 0.6789, 0.3142)
Mn (0.1185, 0.7173, 0.6816)
O (0.0221, 0.6746, 0.1326)
O (0.0414, 0.7150, 0.8550)
O (0.1927, 0.6982, 0.5049)
O (0.2479, 0.1425, 0.7418)

---

# 8
Pr2Mn3O8: computed powder diffractogram (Cu Ka), based on a cell relaxed with GGA+U.

Top 10 peaks for 2θ from 15° to 90°, low angle first:
d_spacing	Rel. int.	h k l
3.642	14	1 0 1
3.236	19	1 0 2
2.784	100	1 0 3
2.698	39	1 1 0
2.249	18	1 1 3
2.035	17	0 0 6
1.908	31	2 0 0
1.625	17	1 1 6
1.574	35	2 1 3
1.392	18	2 0 6

Atomic structure:
Lattice parameters (Å, degrees): 3.8156 3.8156 12.2107 90.00 90.00 90.00
Space group P4/mmm (No. 123)
Asymmetric unit:
Pr (0.0000, 0.0000, 0.1746)
Mn (0.5000, 0.5000, 0.0000)
Mn (0.5000, 0.5000, 0.3312)
O (0.0000, 0.5000, 0.0000)
O (0.0000, 0.5000, 0.3121)
O (0.5000, 0.5000, 0.1552)

---

# 9
PrMn4O8: computed powder diffractogram (Cu Ka), based on a cell relaxed with GGA+U.

Top 10 peaks for 2θ from 15° to 90°, low angle first:
d_spacing	Rel. int.	h k l
5.742	96	0 0 1
5.486	93	2 0 -1
4.781	91	1 1 0
4.589	98	1 1 -1
3.152	56	1 1 1
2.871	56	0 0 2
2.743	63	4 0 -2
2.564	100	2 2 -1
2.112	68	4 0 0
1.862	95	2 2 -3

Atomic structure:
Lattice parameters (Å, degrees): 11.0499 5.7992 7.5114 90.00 130.15 90.00
Space group C2/m (No. 12)
Asymmetric unit:
Pr (0.0000, 0.0000, 0.0000)
Mn (0.0000, 0.2517, 0.5000)
Mn (0.2322, 0.5000, 0.4703)
O (0.0032, 0.5000, 0.3293)
O (0.0111, 0.0000, 0.3351)
O (0.2240, 0.2369, 0.3031)

---

# 10
PrSc4Mn3O12: computed powder diffractogram (Cu Ka), based on a cell relaxed with GGA+U.

Top 10 peaks for 2θ from 15° to 90°, low angle first:
d_spacing	Rel. int.	h k l
5.500	19	1 1 0
3.889	8	2 0 0
2.750	100	2 2 0
2.460	16	3 1 0
2.246	8	2 2 2
2.079	16	3 2 1
1.945	25	4 0 0
1.588	52	4 2 2
1.375	12	4 4 0
1.230	17	6 0 2

Atomic structure:
Lattice parameters (Å, degrees): 7.7786 7.7786 7.7786 90.00 90.00 90.00
Space group Im-3 (No. 204)
Asymmetric unit:
Pr (0.0000, 0.0000, 0.0000)
Sc (0.2500, 0.2500, 0.2500)
Mn (0.0000, 0.0000, 0.5000)
O (0.0000, 0.1657, 0.3110)

---

# 11
PrMnSeO2: computed powder diffractogram (Cu Ka), based on a cell relaxed with GGA+U.

Top 10 peaks for 2θ from 15° to 90°, low angle first:
d_spacing	Rel. int.	h k l
4.032	84	0 2 1
3.233	54	1 3 0
2.796	47	2 0 0
2.785	100	1 3 1
2.744	44	0 0 2
2.298	38	2 2 1
2.188	21	1 5 0
2.092	30	1 3 2
2.032	39	1 5 1
1.958	52	2 0 2

Atomic structure:
Lattice parameters (Å, degrees): 5.5921 11.8850 5.4875 90.00 90.00 90.00
Space group Cmcm (No. 63)
Asymmetric unit:
Pr (0.0000, 0.1297, 0.2500)
Mn (0.0000, 0.4908, 0.2500)
Se (0.0000, 0.2593, 0.7500)
O (0.2406, 0.5000, 0.0000)